Record 1
This entry pairs a crystal structure of Ti3Se4 with its simulated powder diffractogram. Radiation: Cu Kα, 1.54184 Å. Structure: a crystal structure in the Materials Project, relaxed with GGA-PBE.

The 10 most intense peaks (2θ from 15° to 90°), most intense first:
2θ/deg  d_spacing  I_rel
37.42  2.403  1000
31.17  2.869  880
44.44  2.038  817
32.62  2.745  715
30.87  2.896  671
53.01  1.727  615
37.68  2.388  548
83.08  1.163  323
51.26  1.782  290
61.22  1.514  252

Cell and atoms:
Cell: 9.9401 9.9401 3.5643 Å, 90.00 90.00 120.00°
Fractional positions:
Ti1 0.1297 0.4893 0.2500
Ti2 0.3595 0.8703 0.2500
Ti3 0.4893 0.3595 0.7500
Ti4 0.5107 0.6405 0.2500
Ti5 0.6405 0.1297 0.7500
Ti6 0.8703 0.5107 0.7500
Se1 0.0506 0.6992 0.2500
Se2 0.3008 0.3514 0.2500
Se3 0.3333 0.6667 0.7500
Se4 0.3514 0.0506 0.7500
Se5 0.6486 0.9494 0.2500
Se6 0.6667 0.3333 0.2500
Se7 0.6992 0.6486 0.7500
Se8 0.9494 0.3008 0.7500



Record 2
This entry pairs a crystal structure of TiSe with its simulated powder diffractogram. Radiation: Cu Kα, 1.54184 Å. Structure: a crystal structure in the Materials Project, relaxed with GGA-PBE.

The 10 most intense peaks (2θ from 15° to 90°), most intense first:
2θ/deg  d_spacing  I_rel
32.95  2.718  1000
40.30  2.238  899
53.60  1.710  533
50.55  1.806  291
79.26  1.209  244
76.79  1.241  169
69.11  1.359  166
64.35  1.448  140
88.47  1.105  122
26.09  3.416  64

Cell and atoms:
Cell: 3.4213 3.4213 6.8315 Å, 90.00 90.00 120.00°
Fractional positions:
Ti1 0.0000 0.0000 0.0000
Ti2 0.0000 0.0000 0.5000
Se1 0.3333 0.6667 0.2500
Se2 0.6667 0.3333 0.7500



Record 3
This entry pairs a crystal structure of TiSe with its simulated powder diffractogram. Radiation: Cu Kα, 1.54184 Å. Structure: a crystal structure in the Materials Project, relaxed with GGA-PBE.

The 10 most intense peaks (2θ from 15° to 90°), most intense first:
2θ/deg  d_spacing  I_rel
33.08  2.708  1000
50.87  1.795  635
37.14  2.421  585
49.74  1.833  365
31.01  2.884  354
80.14  1.198  310
43.90  2.062  230
62.04  1.496  153
38.70  2.327  148
57.30  1.608  141

Cell and atoms:
Cell: 13.0284 13.0284 13.0284 Å, 15.84 15.84 15.84°
Fractional positions:
Ti1 0.0000 0.0000 0.0000
Ti2 0.0856 0.0856 0.0856
Ti3 0.5000 0.5000 0.5000
Ti4 0.9144 0.9144 0.9144
Se1 0.2075 0.2075 0.2075
Se2 0.3758 0.3758 0.3758
Se3 0.6242 0.6242 0.6242
Se4 0.7925 0.7925 0.7925



Record 4
This entry pairs a crystal structure of Ti3Se4 with its simulated powder diffractogram. Radiation: Cu Kα, 1.54184 Å. Structure: a crystal structure in the Materials Project, relaxed with GGA-PBE.

The 10 most intense peaks (2θ from 15° to 90°), most intense first:
2θ/deg  d_spacing  I_rel
32.37  2.765  1000
49.24  1.851  521
31.35  2.854  510
32.49  2.755  469
41.90  2.156  443
41.71  2.166  344
31.10  2.876  303
51.72  1.767  259
61.72  1.503  251
40.64  2.220  222

Cell and atoms:
Cell: 13.6272 3.5348 6.5165 Å, 90.00 118.03 90.00°
Fractional positions:
Ti1 0.0000 0.0000 0.0000
Ti2 0.2486 0.5000 0.7029
Ti3 0.2514 0.0000 0.2971
Ti4 0.5000 0.5000 0.0000
Ti5 0.7486 0.0000 0.7029
Ti6 0.7514 0.5000 0.2971
Se1 0.1101 0.0000 0.4463
Se2 0.1342 0.5000 0.9655
Se3 0.3658 0.0000 0.0345
Se4 0.3899 0.5000 0.5537
Se5 0.6101 0.5000 0.4463
Se6 0.6342 0.0000 0.9655
Se7 0.8658 0.5000 0.0345
Se8 0.8899 0.0000 0.5537